Entry 1:
The following is a simulated powder XRD pattern of InOsO2F. It was derived from a structure optimized by DFT (PBE), using Cu Ka.

Structure:
a b c (Å): 3.674 3.674 6.691
angles (deg): 90.00 90.00 90.00
Space group P4/mmm (No. 123)
Symmetry-distinct sites (fractional):
In1 0.000 0.000 0.000
Os1 0.500 0.500 0.500
O1 0.000 0.500 0.500
F1 0.500 0.500 0.000

Most intense lines, 2θ = 10–90°, in order of falling intensity:
(hkl), 2θ (°), I_rel
1 0 1, 27.70, 100
0 0 2, 26.65, 45
1 1 2, 44.14, 30
1 1 0, 34.53, 30
2 1 1, 57.78, 26
1 0 3, 47.70, 23
2 0 2, 57.21, 20
2 0 0, 49.63, 16

=====

Entry 2:
The following is a simulated powder XRD pattern of InTe2O5F. It was derived from a structure optimized by DFT (PBE), using Cu Ka.

Structure:
a b c (Å): 7.204 11.467 13.453
angles (deg): 90.00 90.00 90.00
Space group C222_1 (No. 20)
Symmetry-distinct sites (fractional):
In1 0.147 0.098 0.374
Te1 0.082 0.230 0.608
Te2 0.178 0.448 0.352
O1 0.016 0.219 0.473
O2 0.056 0.043 0.874
O3 0.138 0.401 0.587
O4 0.156 0.265 0.838
O5 0.184 0.481 0.214
F1 0.000 0.176 0.250
F2 0.238 0.500 0.000

Most intense lines, 2θ = 10–90°, in order of falling intensity:
(hkl), 2θ (°), I_rel
1 3 2, 29.60, 100
0 0 4, 26.50, 79
2 0 1, 25.60, 76
1 3 1, 27.23, 64
1 3 3, 33.21, 41
2 0 3, 31.87, 34
2 2 0, 29.28, 29
1 3 6, 48.76, 28

=====

Entry 3:
The following is a simulated powder XRD pattern of PaIn6F12. It was derived from a structure optimized by DFT (PBE), using Cu Ka.

Structure:
a b c (Å): 12.3593 12.3593 10.4073
angles (deg): 90.00 90.00 120.00
Space group R-3 (No. 148, hexagonal axes)
Symmetry-distinct sites (fractional):
Pa1 0.0000 0.0000 0.0000
In1 0.0420 0.8172 0.6287
F1 0.0321 0.8630 0.3920
F2 0.0358 0.8824 0.8810

Most intense lines, 2θ = 10–90°, in order of falling intensity:
(hkl), 2θ (°), I_rel
3 -1 1, 23.59, 100
1 2 2, 27.94, 37
4 1 0, 38.54, 30
4 1 3, 46.89, 23
1 1 0, 14.33, 19
3 -1 4, 41.25, 19
0 0 3, 25.68, 17
8 -5 1, 61.27, 15